Diffraction record for AcNi2B. The XRD peak list is calculated, not measured: it uses the PBE geometry in Alexandria and λ = 1.5418 Å (Cu Kα).
Peak positions follow from Bragg's law for the DFT cell and can differ from measured ones.

Atomic structure:
a = 6.430 Å, b = 6.430 Å, c = 4.614 Å
α = 100.07°, β = 100.07°, γ = 127.89°
Atoms (fractional coordinates):
Ac (0.126, 0.874, 0.750)
Ac (0.874, 0.126, 0.250)
Ni (0.266, 0.534, 0.957)
Ni (0.466, 0.734, 0.543)
Ni (0.534, 0.266, 0.457)
Ni (0.734, 0.466, 0.043)
B (0.496, 0.504, 0.750)
B (0.504, 0.496, 0.250)

Top 10 peaks for 10° ≤ 2θ ≤ 80°, sorted by position:
2theta  d [Å]  I (rel.)
22.54  3.945  453
26.10  3.415  730
30.96  2.888  808
33.14  2.704  637
34.62  2.591  377
36.17  2.483  1000
39.85  2.262  389
39.99  2.254  317
45.85  1.979  351
58.53  1.577  333